# 1
Structure and calculated PXRD pattern of Cd3Ag (DFT lattice parameters and positions (PBE); Cu Ka).
Peak positions follow from Bragg's law for the DFT cell and can differ from measured ones.

Structural model:
Lattice parameters (Å, degrees): 3.1789 3.1789 9.6461 90.00 90.00 120.00
Space group P-6m2 (No. 187)
Unique sites:
1 Cd 0.0000 0.0000 0.0000 [1 per cell]
2 Cd 0.6667 0.3333 0.2603 [2 per cell]
3 Ag 0.0000 0.0000 0.5000 [1 per cell]

Top 8 peaks for 10° ≤ 2θ ≤ 90°, in order of rising 2θ:
| two_theta | d/Å | I (rel.) |
| --- | --- | --- |
| 32.52 | 2.753 | 251 |
| 37.29 | 2.412 | 222 |
| 37.62 | 2.391 | 1000 |
| 50.30 | 1.814 | 137 |
| 58.03 | 1.589 | 180 |
| 67.46 | 1.388 | 156 |
| 71.03 | 1.327 | 186 |
| 71.24 | 1.324 | 142 |

***

# 2
Structure and calculated PXRD pattern of CeCd2Ag (DFT lattice parameters and positions (PBE); Cu Ka).
Peak positions follow from Bragg's law for the DFT cell and can differ from measured ones.

Structural model:
Lattice parameters (Å, degrees): 7.2438 7.2438 7.2438 90.00 90.00 90.00
Space group Fm-3m (No. 225)
Unique sites:
1 Ce 0.0000 0.0000 0.0000 [4 per cell]
2 Cd 0.2500 0.2500 0.2500 [8 per cell]
3 Ag 0.0000 0.0000 0.5000 [4 per cell]

Top 6 peaks for 10° ≤ 2θ ≤ 90°, in order of rising 2θ:
| two_theta | d/Å | I (rel.) |
| --- | --- | --- |
| 21.24 | 4.182 | 7 |
| 35.04 | 2.561 | 1000 |
| 50.39 | 1.811 | 173 |
| 62.85 | 1.479 | 347 |
| 74.03 | 1.281 | 106 |
| 84.61 | 1.145 | 151 |

***

# 3
Structure and calculated PXRD pattern of EuCdAg2 (DFT lattice parameters and positions (PBE); Cu Ka).
Peak positions follow from Bragg's law for the DFT cell and can differ from measured ones.

Structural model:
Lattice parameters (Å, degrees): 7.2812 7.2812 7.2812 90.00 90.00 90.00
Space group Fm-3m (No. 225)
Unique sites:
1 Eu 0.0000 0.0000 0.0000 [4 per cell]
2 Cd 0.0000 0.0000 0.5000 [4 per cell]
3 Ag 0.2500 0.2500 0.2500 [8 per cell]

Top 8 peaks for 10° ≤ 2θ ≤ 90°, in order of rising 2θ:
| two_theta | d/Å | I (rel.) |
| --- | --- | --- |
| 21.13 | 4.204 | 12 |
| 24.45 | 3.641 | 8 |
| 34.85 | 2.574 | 1000 |
| 41.12 | 2.195 | 8 |
| 50.11 | 1.820 | 173 |
| 62.49 | 1.486 | 348 |
| 73.59 | 1.287 | 107 |
| 84.08 | 1.151 | 152 |

***

# 4
Structure and calculated PXRD pattern of Zr3Cd3AgF20 (DFT lattice parameters and positions (PBE); Cu Ka).
Peak positions follow from Bragg's law for the DFT cell and can differ from measured ones.

Structural model:
Lattice parameters (Å, degrees): 10.7570 10.7570 8.5210 90.00 90.00 120.00
Space group P6_3/m (No. 176)
Unique sites:
1 Zr 0.1378 0.4154 0.2500 [6 per cell]
2 Cd 0.1627 0.4339 0.7500 [6 per cell]
3 Ag 0.0000 0.0000 0.2500 [2 per cell]
4 F 0.0000 0.0000 0.0000 [2 per cell]
5 F 0.0350 0.8000 0.7500 [6 per cell]
6 F 0.0559 0.7754 0.2500 [6 per cell]
7 F 0.0593 0.5869 0.7500 [6 per cell]
8 F 0.1454 0.4252 0.0122 [12 per cell]
9 F 0.1836 0.6335 0.2500 [6 per cell]
10 F 0.3333 0.6667 0.7500 [2 per cell]

Top 8 peaks for 10° ≤ 2θ ≤ 90°, in order of rising 2θ:
| two_theta | d/Å | I (rel.) |
| --- | --- | --- |
| 20.85 | 4.260 | 708 |
| 25.29 | 3.521 | 1000 |
| 33.00 | 2.714 | 398 |
| 42.43 | 2.130 | 178 |
| 44.57 | 2.033 | 356 |
| 49.69 | 1.835 | 276 |
| 50.05 | 1.823 | 293 |
| 63.23 | 1.471 | 227 |

***

# 5
Structure and calculated PXRD pattern of GdCdAg2 (DFT lattice parameters and positions (PBE); Cu Ka).
Peak positions follow from Bragg's law for the DFT cell and can differ from measured ones.

Structural model:
Lattice parameters (Å, degrees): 7.0573 7.0573 7.0573 90.00 90.00 90.00
Space group Fm-3m (No. 225)
Unique sites:
1 Gd 0.0000 0.0000 0.0000 [4 per cell]
2 Cd 0.0000 0.0000 0.5000 [4 per cell]
3 Ag 0.2500 0.2500 0.2500 [8 per cell]

Top 8 peaks for 10° ≤ 2θ ≤ 90°, in order of rising 2θ:
| two_theta | d/Å | I (rel.) |
| --- | --- | --- |
| 21.81 | 4.075 | 15 |
| 25.24 | 3.529 | 10 |
| 35.99 | 2.495 | 1000 |
| 42.48 | 2.128 | 9 |
| 51.82 | 1.764 | 171 |
| 64.71 | 1.441 | 342 |
| 76.33 | 1.248 | 105 |
| 87.40 | 1.116 | 153 |

***

# 6
Structure and calculated PXRD pattern of HoCdAg2 (DFT lattice parameters and positions (PBE); Cu Ka).
Peak positions follow from Bragg's law for the DFT cell and can differ from measured ones.

Structural model:
Lattice parameters (Å, degrees): 6.9943 6.9943 6.9943 90.00 90.00 90.00
Space group Fm-3m (No. 225)
Unique sites:
1 Ho 0.0000 0.0000 0.0000 [4 per cell]
2 Cd 0.0000 0.0000 0.5000 [4 per cell]
3 Ag 0.2500 0.2500 0.2500 [8 per cell]

Top 8 peaks for 10° ≤ 2θ ≤ 90°, in order of rising 2θ:
| two_theta | d/Å | I (rel.) |
| --- | --- | --- |
| 22.01 | 4.038 | 21 |
| 25.47 | 3.497 | 13 |
| 36.33 | 2.473 | 1000 |
| 42.88 | 2.109 | 12 |
| 52.32 | 1.749 | 171 |
| 65.36 | 1.428 | 342 |
| 77.14 | 1.236 | 106 |
| 88.39 | 1.106 | 155 |